# VPbSe2O8
Theoretical XRD peak list, Cu Kα X-rays. Input: a crystal structure in Alexandria, relaxed with GGA+U.

Top 10 peaks for 10 to 90 degrees two-theta, by angle:
| index | two_theta | I (rel.) |
| --- | --- | --- |
| 1 1 0 | 17.67 | 37 |
| 1 1 1 | 22.36 | 90 |
| 2 0 0 | 23.76 | 88 |
| 0 2 0 | 26.35 | 100 |
| 2 0 -1 | 27.12 | 41 |
| 1 1 -2 | 32.18 | 87 |
| 1 1 2 | 32.59 | 72 |
| 2 2 -1 | 38.17 | 32 |
| 3 1 0 | 38.43 | 33 |
| 1 3 -2 | 50.32 | 44 |

Structural model:
```
data_VPbSe2O8
_chemical_formula_sum 'V2 Pb2 Se4 O16'
_cell_length_a 7.492
_cell_length_b 6.765
_cell_length_c 6.625
_cell_angle_alpha 90.00
_cell_angle_beta 91.15
_cell_angle_gamma 90.00
_space_group_name_H-M_alt 'C 1 2/m 1'
_space_group_IT_number 12
_space_group_name_Hall '-C 2y'
loop_
_atom_site_label
_atom_site_fract_x
_atom_site_fract_y
_atom_site_fract_z
V1 0.000 0.000 0.000
Pb1 0.000 0.000 0.500
Se1 0.073 0.500 0.771
O1 0.028 0.189 0.795
O2 0.187 0.500 0.551
O3 0.233 0.500 0.959
```